Entry 1:
The following is a theoretical powder diffraction line list of Sr2FeCuPb2O6. It was derived from the PBE+U geometry in the Materials Project, using copper Kα.

Largest 10 diffraction maxima, in order of falling intensity, 2θ from 10° to 90°:
two_theta  Rel. int.
32.05  100.0
31.60  67.0
31.81  35.8
30.93  34.4
44.29  28.3
46.29  21.5
45.62  20.5
29.11  18.7
43.40  16.7
57.11  15.0

Structure:
Unit cell a=3.978 b=3.923 c=12.273 alpha=90.00 beta=91.57 gamma=90.00
Atoms (fractional coordinates):
Sr (0.017, 0.000, 0.143)
Sr (0.983, 0.000, 0.857)
Fe (0.500, 0.500, 0.000)
Cu (0.000, 0.000, 0.500)
Pb (0.498, 0.500, 0.643)
Pb (0.502, 0.500, 0.357)
O (0.000, 0.500, 0.000)
O (0.123, 0.000, 0.356)
O (0.482, 0.500, 0.821)
O (0.500, 0.000, 0.000)
O (0.518, 0.500, 0.179)
O (0.877, 0.000, 0.644)



Entry 2:
The following is a theoretical powder diffraction line list of MnP2O7. It was derived from the PBE+U geometry in the Materials Project, using copper Kα.

Largest 10 diffraction maxima, in order of falling intensity, 2θ from 10° to 90°:
two_theta  Rel. int.
29.28  100.0
14.87  96.8
29.99  75.0
18.36  73.5
28.61  71.6
14.52  71.0
25.85  33.4
21.02  28.9
41.86  26.1
28.05  21.1

Structure:
Unit cell a=6.574 b=6.574 c=6.808 alpha=111.74 beta=111.74 gamma=80.01
Atoms (fractional coordinates):
Mn (0.186, 0.814, 0.000)
Mn (0.814, 0.186, 0.000)
P (0.194, 0.194, 0.443)
P (0.272, 0.272, 0.934)
P (0.728, 0.728, 0.066)
P (0.806, 0.806, 0.557)
O (0.044, 0.735, 0.678)
O (0.141, 0.141, 0.997)
O (0.176, 0.176, 0.664)
O (0.211, 0.513, 0.017)
O (0.265, 0.956, 0.322)
O (0.358, 0.358, 0.497)
O (0.487, 0.789, 0.983)
O (0.513, 0.211, 0.017)
O (0.642, 0.642, 0.503)
O (0.735, 0.044, 0.678)
O (0.789, 0.487, 0.983)
O (0.824, 0.824, 0.336)
O (0.859, 0.859, 0.003)
O (0.956, 0.265, 0.322)



Entry 3:
The following is a theoretical powder diffraction line list of LiVH2OF5. It was derived from the PBE+U geometry in the Materials Project, using copper Kα.

Largest 10 diffraction maxima, in order of falling intensity, 2θ from 10° to 90°:
two_theta  Rel. int.
19.81  100.0
18.90  82.1
20.66  78.1
27.60  46.1
31.06  40.6
43.48  32.6
22.96  28.2
44.50  22.4
52.32  21.0
49.53  20.2

Structure:
Unit cell a=5.712 b=5.712 c=7.771 alpha=93.71 beta=93.71 gamma=68.91
Atoms (fractional coordinates):
Li (0.226, 0.226, 0.255)
Li (0.774, 0.774, 0.745)
V (0.282, 0.718, 0.000)
V (0.748, 0.252, 0.500)
H (0.308, 0.617, 0.592)
H (0.383, 0.692, 0.408)
H (0.648, 0.282, 0.093)
H (0.718, 0.352, 0.907)
O (0.433, 0.567, 0.500)
O (0.597, 0.403, 0.000)
F (0.030, 0.970, 0.500)
F (0.148, 0.519, 0.105)
F (0.157, 0.631, 0.781)
F (0.369, 0.843, 0.219)
F (0.481, 0.852, 0.895)
F (0.589, 0.073, 0.613)
F (0.608, 0.173, 0.289)
F (0.827, 0.392, 0.711)
F (0.927, 0.411, 0.387)
F (0.997, 0.003, 0.000)



Entry 4:
The following is a theoretical powder diffraction line list of FeBiO3. It was derived from the PBE+U geometry in the Materials Project, using copper Kα.

Largest 10 diffraction maxima, in order of falling intensity, 2θ from 10° to 90°:
two_theta  Rel. int.
31.60  100.0
30.76  95.7
21.91  85.5
49.72  45.1
44.68  43.4
55.75  39.5
38.79  34.3
56.28  20.1
50.86  18.7
65.99  17.9

Structure:
Unit cell a=5.663 b=5.663 c=7.220 alpha=90.00 beta=90.00 gamma=120.00
Atoms (fractional coordinates):
Fe (0.000, 0.000, 0.000)
Fe (0.333, 0.667, 0.667)
Fe (0.667, 0.333, 0.333)
Bi (0.000, 0.000, 0.422)
Bi (0.333, 0.667, 0.088)
Bi (0.667, 0.333, 0.755)
O (0.175, 0.350, 0.868)
O (0.175, 0.825, 0.868)
O (0.317, 0.158, 0.202)
O (0.508, 0.017, 0.535)
O (0.508, 0.492, 0.535)
O (0.650, 0.825, 0.868)
O (0.842, 0.158, 0.202)
O (0.842, 0.683, 0.202)
O (0.983, 0.492, 0.535)



Entry 5:
The following is a theoretical powder diffraction line list of MnV4CrO12. It was derived from the PBE+U geometry in the Materials Project, using copper Kα.

Largest 10 diffraction maxima, in order of falling intensity, 2θ from 10° to 90°:
two_theta  Rel. int.
27.91  100.0
29.95  64.5
19.32  49.8
32.42  45.9
18.25  39.2
23.41  28.5
34.96  25.3
44.38  23.8
25.21  23.2
50.49  19.6

Structure:
Unit cell a=6.832 b=6.832 c=5.903 alpha=105.13 beta=105.13 gamma=84.51
Atoms (fractional coordinates):
Mn (0.000, 0.000, 0.000)
V (0.293, 0.308, 0.516)
V (0.474, 0.122, 0.010)
V (0.692, 0.707, 0.484)
V (0.878, 0.526, 0.990)
Cr (0.168, 0.832, 0.500)
O (0.001, 0.298, 0.965)
O (0.051, 0.720, 0.123)
O (0.124, 0.110, 0.408)
O (0.178, 0.541, 0.539)
O (0.280, 0.949, 0.877)
O (0.444, 0.284, 0.803)
O (0.446, 0.269, 0.304)
O (0.459, 0.822, 0.461)
O (0.702, 0.999, 0.035)
O (0.716, 0.556, 0.197)
O (0.731, 0.554, 0.696)
O (0.890, 0.876, 0.592)



Entry 6:
The following is a theoretical powder diffraction line list of Li4Co3O7. It was derived from the PBE+U geometry in the Materials Project, using copper Kα.

Largest 10 diffraction maxima, in order of falling intensity, 2θ from 10° to 90°:
two_theta  Rel. int.
18.30  100.0
43.42  57.6
36.04  30.6
44.14  25.8
63.89  21.9
63.35  14.6
36.29  12.2
57.11  9.4
47.96  8.8
62.32  8.0

Structure:
Unit cell a=7.841 b=7.841 c=12.633 alpha=117.88 beta=117.88 gamma=21.44
Atoms (fractional coordinates):
Li (0.000, 0.000, 0.000)
Li (0.071, 0.071, 0.354)
Li (0.213, 0.213, 0.068)
Li (0.360, 0.360, 0.789)
Li (0.500, 0.500, 0.500)
Li (0.640, 0.640, 0.211)
Li (0.787, 0.787, 0.932)
Li (0.929, 0.929, 0.646)
Co (0.146, 0.146, 0.719)
Co (0.286, 0.286, 0.427)
Co (0.430, 0.430, 0.135)
Co (0.570, 0.570, 0.865)
Co (0.714, 0.714, 0.573)
Co (0.854, 0.854, 0.281)
O (0.028, 0.028, 0.175)
O (0.112, 0.112, 0.541)
O (0.170, 0.170, 0.888)
O (0.254, 0.254, 0.251)
O (0.315, 0.315, 0.603)
O (0.396, 0.396, 0.984)
O (0.455, 0.455, 0.302)
O (0.545, 0.545, 0.698)
O (0.604, 0.604, 0.016)
O (0.685, 0.685, 0.397)
O (0.746, 0.746, 0.749)
O (0.830, 0.830, 0.112)
O (0.888, 0.888, 0.459)
O (0.972, 0.972, 0.825)



Entry 7:
The following is a theoretical powder diffraction line list of NaCo2H3Se2O10. It was derived from the PBE+U geometry in the Materials Project, using copper Kα.

Largest 10 diffraction maxima, in order of falling intensity, 2θ from 10° to 90°:
two_theta  Rel. int.
25.62  100.0
34.08  99.6
17.40  97.0
26.99  90.6
29.82  83.9
30.30  51.0
53.38  50.6
32.75  45.2
12.80  42.3
24.31  36.0

Structure:
Unit cell a=5.575 b=5.575 c=7.661 alpha=110.40 beta=110.40 gamma=71.62
Atoms (fractional coordinates):
Na (0.000, 0.000, 0.000)
Co (0.001, 0.495, 0.502)
Co (0.495, 0.001, 0.502)
H (0.182, 0.182, 0.715)
H (0.805, 0.805, 0.272)
H (0.979, 0.979, 0.482)
Se (0.412, 0.412, 0.207)
Se (0.589, 0.589, 0.794)
O (0.149, 0.149, 0.575)
O (0.260, 0.685, 0.748)
O (0.265, 0.265, 0.985)
O (0.317, 0.317, 0.358)
O (0.317, 0.741, 0.250)
O (0.685, 0.260, 0.748)
O (0.689, 0.689, 0.647)
O (0.735, 0.735, 0.017)
O (0.741, 0.317, 0.250)
O (0.845, 0.845, 0.415)



Entry 8:
The following is a theoretical powder diffraction line list of Rb2Mo4O13. It was derived from the PBE+U geometry in the Materials Project, using copper Kα.

Largest 10 diffraction maxima, in order of falling intensity, 2θ from 10° to 90°:
two_theta  Rel. int.
29.60  100.0
24.16  91.4
12.12  69.6
25.10  67.4
27.54  43.0
12.02  39.2
28.27  35.3
26.48  33.2
42.89  28.9
36.87  25.2

Structure:
Unit cell a=8.480 b=8.598 c=10.519 alpha=104.28 beta=106.45 gamma=109.84
Atoms (fractional coordinates):
Rb (0.122, 0.073, 0.306)
Rb (0.190, 0.651, 0.428)
Rb (0.810, 0.349, 0.572)
Rb (0.878, 0.927, 0.694)
Mo (0.274, 0.460, 0.958)
Mo (0.278, 0.847, 0.943)
Mo (0.424, 0.503, 0.711)
Mo (0.448, 0.127, 0.732)
Mo (0.552, 0.873, 0.268)
Mo (0.576, 0.497, 0.289)
Mo (0.722, 0.153, 0.057)
Mo (0.726, 0.540, 0.042)
O (0.049, 0.336, 0.833)
O (0.085, 0.720, 0.782)
O (0.199, 0.383, 0.579)
O (0.204, 0.977, 0.041)
O (0.216, 0.999, 0.619)
O (0.279, 0.693, 0.061)
O (0.283, 0.377, 0.097)
O (0.378, 0.640, 0.858)
O (0.403, 0.354, 0.868)
O (0.432, 0.021, 0.884)
O (0.445, 0.983, 0.345)
O (0.471, 0.345, 0.356)
O (0.491, 0.683, 0.337)
O (0.509, 0.317, 0.663)
O (0.529, 0.655, 0.644)
O (0.555, 0.017, 0.655)
O (0.568, 0.979, 0.116)
O (0.597, 0.646, 0.132)
O (0.622, 0.360, 0.142)
O (0.717, 0.623, 0.903)
O (0.721, 0.307, 0.939)
O (0.784, 0.001, 0.381)
O (0.796, 0.023, 0.959)
O (0.801, 0.617, 0.421)
O (0.915, 0.280, 0.218)
O (0.951, 0.664, 0.167)